Starting from a structure optimized by DFT (PBE), the PXRD pattern of CsErCdTe3 was simulated for Cu Ka.

Structure:
a b c (Å): 8.9778 8.9778 11.8408
angles (deg): 90.00 90.00 150.79
Fractional positions:
Cs1 0.2489 0.7511 0.7500
Cs2 0.7511 0.2489 0.2500
Er1 0.0000 0.0000 0.0000
Er2 0.0000 0.0000 0.5000
Cd1 0.4624 0.5376 0.2500
Cd2 0.5376 0.4624 0.7500
Te1 0.0648 0.9352 0.2500
Te2 0.3808 0.6192 0.0447
Te3 0.3808 0.6192 0.4553
Te4 0.6192 0.3808 0.5447
Te5 0.6192 0.3808 0.9553
Te6 0.9352 0.0648 0.7500

Top 8 peaks for 15° ≤ 2θ ≤ 90°, sorted by position:
2θ 25.0, intensity 29
2θ 26.1, intensity 100
2θ 29.2, intensity 63
2θ 30.2, intensity 50
2θ 35.9, intensity 57
2θ 39.8, intensity 44
2θ 46.0, intensity 41
2θ 47.7, intensity 28


Starting from a structure optimized by DFT (PBE), the PXRD pattern of Cs2CdGe3S8 was simulated for Cu Ka.

Structure:
a b c (Å): 7.5696 12.9740 17.3307
angles (deg): 90.00 90.00 90.00
Fractional positions:
Cs1 0.2307 0.1947 0.3482
Cs2 0.2476 0.1328 0.9454
Cs3 0.2524 0.8672 0.4454
Cs4 0.2693 0.8053 0.8482
Cs5 0.7307 0.3053 0.6518
Cs6 0.7476 0.3672 0.0546
Cs7 0.7524 0.6328 0.5546
Cs8 0.7693 0.6947 0.1518
Cd1 0.0276 0.9986 0.6518
Cd2 0.4724 0.0014 0.1518
Cd3 0.5276 0.5014 0.3482
Cd4 0.9724 0.4986 0.8482
Ge1 0.0307 0.5293 0.3461
Ge2 0.2315 0.5471 0.6771
Ge3 0.2387 0.5537 0.0175
Ge4 0.2613 0.4463 0.5175
Ge5 0.2685 0.4529 0.1771
Ge6 0.4693 0.4707 0.8461
Ge7 0.5307 0.9707 0.6539
Ge8 0.7315 0.9529 0.3229
Ge9 0.7387 0.9463 0.9825
Ge10 0.7613 0.0537 0.4825
Ge11 0.7685 0.0471 0.8229
Ge12 0.9693 0.0293 0.1539
S1 0.0011 0.1160 0.7702
S2 0.0067 0.1134 0.5308
S3 0.0121 0.4235 0.2396
S4 0.0158 0.4148 0.4478
S5 0.2097 0.1253 0.1502
S6 0.2136 0.3790 0.6367
S7 0.2319 0.3849 0.0566
S8 0.2345 0.3730 0.8440
S9 0.2655 0.6270 0.3440
S10 0.2681 0.6151 0.5566
S11 0.2864 0.6210 0.1367
S12 0.2903 0.8747 0.6502
S13 0.4842 0.5852 0.9478
S14 0.4879 0.5765 0.7396
S15 0.4933 0.8866 0.0308
S16 0.4989 0.8840 0.2702
S17 0.5011 0.3840 0.2298
S18 0.5067 0.3866 0.4692
S19 0.5121 0.0765 0.7604
S20 0.5158 0.0852 0.5522
S21 0.7097 0.3747 0.8498
S22 0.7136 0.1210 0.3633
S23 0.7319 0.1151 0.9434
S24 0.7345 0.1270 0.1560
S25 0.7655 0.8730 0.6560
S26 0.7681 0.8849 0.4434
S27 0.7864 0.8790 0.8633
S28 0.7903 0.6253 0.3498
S29 0.9842 0.9148 0.0522
S30 0.9879 0.9235 0.2604
S31 0.9933 0.6134 0.9692
S32 0.9989 0.6160 0.7298

Top 8 peaks for 15° ≤ 2θ ≤ 90°, sorted by position:
2θ 20.7, intensity 47
2θ 23.0, intensity 46
2θ 23.7, intensity 79
2θ 25.7, intensity 40
2θ 26.6, intensity 100
2θ 29.2, intensity 94
2θ 45.2, intensity 27
2θ 48.9, intensity 28


Starting from a structure optimized by DFT (PBE), the PXRD pattern of Cs3CdH5 was simulated for Cu Ka.

Structure:
a b c (Å): 8.7958 8.7958 8.7958
angles (deg): 121.64 121.64 87.18
Fractional positions:
Cs1 0.1819 0.6819 0.8637
Cs2 0.2500 0.2500 0.0000
Cs3 0.3181 0.1819 0.5000
Cs4 0.6819 0.8181 0.5000
Cs5 0.7500 0.7500 0.0000
Cs6 0.8181 0.3181 0.1363
Cd1 0.2500 0.7500 0.5000
Cd2 0.7500 0.2500 0.5000
H1 0.0000 0.0000 0.0000
H2 0.0412 0.7848 0.5000
H3 0.2152 0.7152 0.2563
H4 0.2848 0.5412 0.5000
H5 0.4588 0.9588 0.7437
H6 0.5000 0.5000 0.0000
H7 0.5412 0.0412 0.2563
H8 0.7152 0.4588 0.5000
H9 0.7848 0.2848 0.7437
H10 0.9588 0.2152 0.5000

Top 8 peaks for 15° ≤ 2θ ≤ 90°, sorted by position:
2θ 24.2, intensity 39
2θ 25.0, intensity 100
2θ 28.0, intensity 28
2θ 29.5, intensity 25
2θ 31.4, intensity 22
2θ 41.1, intensity 20
2θ 44.1, intensity 14
2θ 47.8, intensity 17


Starting from a structure optimized by DFT (PBE), the PXRD pattern of Cs3CdI5 was simulated for Cu Ka.

Structure:
a b c (Å): 10.3302 12.1000 15.3267
angles (deg): 90.00 90.00 90.00
Fractional positions:
Cs1 0.0788 0.0185 0.1708
Cs2 0.0790 0.2500 0.4498
Cs3 0.0788 0.4815 0.1708
Cs4 0.4212 0.5185 0.6708
Cs5 0.4210 0.7500 0.9498
Cs6 0.4212 0.9815 0.6708
Cs7 0.5788 0.0185 0.3292
Cs8 0.5790 0.2500 0.0502
Cs9 0.5788 0.4815 0.3292
Cs10 0.9212 0.5185 0.8292
Cs11 0.9210 0.7500 0.5502
Cs12 0.9212 0.9815 0.8292
Cd1 0.1893 0.2500 0.8909
Cd2 0.3107 0.7500 0.3909
Cd3 0.6893 0.2500 0.6091
Cd4 0.8107 0.7500 0.1091
I1 0.0433 0.7500 0.0087
I2 0.1300 0.2500 0.7114
I3 0.1754 0.7500 0.7357
I4 0.1866 0.5516 0.4377
I5 0.1866 0.9484 0.4377
I6 0.3134 0.0516 0.9377
I7 0.3134 0.4484 0.9377
I8 0.3246 0.2500 0.2357
I9 0.3700 0.7500 0.2114
I10 0.4567 0.2500 0.5087
I11 0.5433 0.7500 0.4913
I12 0.6300 0.2500 0.7886
I13 0.6754 0.7500 0.7643
I14 0.6866 0.5516 0.0623
I15 0.6866 0.9484 0.0623
I16 0.8134 0.0516 0.5623
I17 0.8134 0.4484 0.5623
I18 0.8246 0.2500 0.2643
I19 0.8700 0.7500 0.2886
I20 0.9567 0.2500 0.9913

Top 8 peaks for 15° ≤ 2θ ≤ 90°, sorted by position:
2θ 23.4, intensity 100
2θ 24.4, intensity 70
2θ 24.5, intensity 27
2θ 24.8, intensity 58
2θ 25.5, intensity 58
2θ 27.6, intensity 41
2θ 29.5, intensity 55
2θ 39.3, intensity 25


Starting from a structure optimized by DFT (PBE), the PXRD pattern of CsCdI3O was simulated for Cu Ka.

Structure:
a b c (Å): 8.4112 8.1114 15.3066
angles (deg): 90.00 91.21 90.00
Fractional positions:
Cs1 0.0000 0.0198 0.0000
Cs2 0.0000 0.9802 0.5000
Cs3 0.5361 0.2260 0.3751
Cs4 0.5361 0.7740 0.8751
Cd1 0.0800 0.3814 0.7424
Cd2 0.0800 0.6186 0.2424
Cd3 0.5744 0.2813 0.7130
Cd4 0.5744 0.7187 0.2130
I1 0.0479 0.4444 0.4076
I2 0.0479 0.5556 0.9076
I3 0.1037 0.0419 0.7569
I4 0.1037 0.9581 0.2569
I5 0.3418 0.4776 0.1540
I6 0.3418 0.5224 0.6540
I7 0.5610 0.2618 0.8973
I8 0.5610 0.7382 0.3973
I9 0.5698 0.0209 0.1240
I10 0.5698 0.9791 0.6240
I11 0.8205 0.4776 0.6331
I12 0.8205 0.5224 0.1331
O1 0.3801 0.0544 0.9875
O2 0.3801 0.9456 0.4875
O3 0.8777 0.2859 0.3995
O4 0.8777 0.7141 0.8995

Top 8 peaks for 15° ≤ 2θ ≤ 90°, sorted by position:
2θ 21.1, intensity 60
2θ 24.4, intensity 100
2θ 24.8, intensity 40
2θ 25.8, intensity 59
2θ 26.4, intensity 52
2θ 27.1, intensity 39
2θ 39.1, intensity 32
2θ 41.0, intensity 37


Starting from a structure optimized by DFT (PBE), the PXRD pattern of CsCdInTe3 was simulated for Cu Ka.

Structure:
a b c (Å): 9.1261 9.1261 24.8469
angles (deg): 95.25 95.25 89.99
Fractional positions:
Cs1 0.1065 0.7308 0.9236
Cs2 0.2692 0.3947 0.5764
Cs3 0.2692 0.8935 0.5764
Cs4 0.3947 0.2692 0.0764
Cs5 0.6053 0.7308 0.9236
Cs6 0.7308 0.1065 0.4236
Cs7 0.7308 0.6053 0.4236
Cs8 0.8935 0.2692 0.0764
Cd1 0.0603 0.4351 0.7500
Cd2 0.0602 0.9398 0.7500
Cd3 0.4351 0.0603 0.2500
Cd4 0.4354 0.5646 0.2500
Cd5 0.5646 0.4354 0.7500
Cd6 0.5649 0.9397 0.7500
Cd7 0.9398 0.0602 0.2500
Cd8 0.9397 0.5649 0.2500
In1 0.1555 0.7804 0.1224
In2 0.2195 0.3444 0.3775
In3 0.2196 0.8445 0.3776
In4 0.3444 0.2195 0.8775
In5 0.6556 0.7805 0.1225
In6 0.7804 0.1555 0.6224
In7 0.7805 0.6556 0.6225
In8 0.8445 0.2196 0.8776
Te1 0.0622 0.6699 0.6799
Te2 0.0627 0.1697 0.6794
Te3 0.1119 0.2371 0.9475
Te4 0.1697 0.0627 0.1794
Te5 0.1700 0.5270 0.1795
Te6 0.2371 0.1119 0.4475
Te7 0.2367 0.6119 0.4475
Te8 0.3300 0.4724 0.8202
Te9 0.3301 0.9378 0.8201
Te10 0.3881 0.7633 0.0525
Te11 0.4724 0.3300 0.3202
Te12 0.4730 0.8300 0.3205
Te13 0.5270 0.1700 0.6795
Te14 0.5276 0.6700 0.6798
Te15 0.6119 0.2367 0.9475
Te16 0.6699 0.0622 0.1799
Te17 0.6700 0.5276 0.1798
Te18 0.7633 0.3881 0.5525
Te19 0.7629 0.8881 0.5525
Te20 0.8300 0.4730 0.8205
Te21 0.8303 0.9373 0.8206
Te22 0.8881 0.7629 0.0525
Te23 0.9373 0.8303 0.3206
Te24 0.9378 0.3301 0.3201

Top 8 peaks for 15° ≤ 2θ ≤ 90°, sorted by position:
2θ 21.5, intensity 37
2θ 25.4, intensity 100
2θ 29.7, intensity 14
2θ 37.8, intensity 43
2θ 39.5, intensity 38
2θ 43.3, intensity 22
2θ 46.8, intensity 15
2θ 47.6, intensity 34


Starting from a structure optimized by DFT (PBE), the PXRD pattern of Cs2K2Cd3O5 was simulated for Cu Ka.

Structure:
a b c (Å): 6.7117 9.4389 9.6084
angles (deg): 65.65 73.91 71.57
Fractional positions:
Cs1 0.0491 0.0751 0.1490
Cs2 0.3893 0.2120 0.7455
Cs3 0.6107 0.7880 0.2545
Cs4 0.9509 0.9249 0.8510
K1 0.0568 0.4518 0.1944
K2 0.2413 0.0714 0.4771
K3 0.7587 0.9286 0.5229
K4 0.9432 0.5482 0.8056
Cd1 0.1262 0.6404 0.4084
Cd2 0.4012 0.6811 0.9969
Cd3 0.4325 0.6702 0.6708
Cd4 0.5675 0.3298 0.3292
Cd5 0.5988 0.3189 0.0031
Cd6 0.8738 0.3596 0.5916
O1 0.1103 0.7529 0.1544
O2 0.1824 0.7823 0.5194
O3 0.2324 0.3781 0.4604
O4 0.3198 0.4985 0.9049
O5 0.4357 0.8642 0.7583
O6 0.5643 0.1358 0.2417
O7 0.6802 0.5015 0.0951
O8 0.7676 0.6219 0.5396
O9 0.8176 0.2177 0.4806
O10 0.8897 0.2471 0.8456

Top 8 peaks for 15° ≤ 2θ ≤ 90°, sorted by position:
2θ 28.2, intensity 58
2θ 28.9, intensity 57
2θ 29.0, intensity 25
2θ 30.0, intensity 34
2θ 30.6, intensity 28
2θ 30.8, intensity 37
2θ 32.0, intensity 100
2θ 38.3, intensity 24


Starting from a structure optimized by DFT (PBE), the PXRD pattern of CsLaCdTe3 was simulated for Cu Ka.

Structure:
a b c (Å): 8.9769 8.9769 12.3055
angles (deg): 90.00 90.00 149.54
Fractional positions:
Cs1 0.2502 0.7498 0.7500
Cs2 0.7498 0.2502 0.2500
La1 0.0000 0.0000 0.0000
La2 0.0000 0.0000 0.5000
Cd1 0.4656 0.5344 0.2500
Cd2 0.5344 0.4656 0.7500
Te1 0.0664 0.9336 0.2500
Te2 0.3771 0.6229 0.0563
Te3 0.3771 0.6229 0.4437
Te4 0.6229 0.3771 0.5563
Te5 0.6229 0.3771 0.9437
Te6 0.9336 0.0664 0.7500

Top 8 peaks for 15° ≤ 2θ ≤ 90°, sorted by position:
2θ 24.0, intensity 27
2θ 25.4, intensity 100
2θ 28.4, intensity 52
2θ 29.0, intensity 37
2θ 35.3, intensity 49
2θ 38.2, intensity 41
2θ 44.4, intensity 46
2θ 48.7, intensity 26